Diffraction record for ZnNi3P3O13. The X-ray diffraction stick pattern is theoretical, not measured: it uses a crystal structure in the Materials Project, relaxed with PBE+U and Cu Kα, 1.54184 Å.
Peak positions follow from Bragg's law for the DFT cell and can differ from measured ones.

Crystal structure
Cell: 7.3998 6.2282 10.4062 Å, 90.00 99.93 90.00°
Positions (direct):
Zn: 0.1285 0.2500 0.1481
Zn: 0.8715 0.7500 0.8519
Ni: 0.1392 0.2500 0.7955
Ni: 0.2639 0.7500 0.4428
Ni: 0.5000 0.0000 0.0000
Ni: 0.5000 0.5000 0.0000
Ni: 0.7361 0.2500 0.5572
Ni: 0.8608 0.7500 0.2045
P: 0.1849 0.7500 0.1245
P: 0.2361 0.7500 0.7653
P: 0.2932 0.2500 0.5158
P: 0.7068 0.7500 0.4842
P: 0.7639 0.2500 0.2347
P: 0.8151 0.2500 0.8755
O: 0.0103 0.2500 0.9618
O: 0.1050 0.5630 0.7897
O: 0.1050 0.9370 0.7897
O: 0.1297 0.7500 0.2620
O: 0.1483 0.2500 0.6052
O: 0.2602 0.0594 0.4190
O: 0.2602 0.4406 0.4190
O: 0.2870 0.5374 0.1074
O: 0.2870 0.9626 0.1074
O: 0.3003 0.7500 0.6349
O: 0.3738 0.2500 0.9041
O: 0.4083 0.7500 0.8760
O: 0.4849 0.2500 0.6007
O: 0.5151 0.7500 0.3993
O: 0.5917 0.2500 0.1240
O: 0.6262 0.7500 0.0959
O: 0.6997 0.2500 0.3651
O: 0.7130 0.0374 0.8926
O: 0.7130 0.4626 0.8926
O: 0.7398 0.5594 0.5810
O: 0.7398 0.9406 0.5810
O: 0.8517 0.7500 0.3948
O: 0.8703 0.2500 0.7380
O: 0.8950 0.0630 0.2103
O: 0.8950 0.4370 0.2103
O: 0.9897 0.7500 0.0382

Principal peaks in the range 2θ = 15–90°, by angle:
- 4.581 Å, 19.38°, I = 76, (1 0 -2)
- 3.889 Å, 22.87°, I = 66, (1 0 2)
- 3.640 Å, 24.45°, I = 79, (2 0 -1)
- 3.417 Å, 26.08°, I = 40, (0 0 3)
- 3.114 Å, 28.67°, I = 93, (0 2 0)
- 2.907 Å, 30.76°, I = 100, (1 0 3)
- 2.740 Å, 32.69°, I = 59, (2 0 -3)
- 2.711 Å, 33.04°, I = 50, (1 2 1)
- 2.367 Å, 38.01°, I = 41, (2 2 0)
- 2.302 Å, 39.14°, I = 53, (0 2 3)